Na2CdIn2Hg2: computed X-ray powder pattern (CuKα), based on a structure optimized by DFT (PBE).
Peak positions follow from Bragg's law for the DFT cell and can differ from measured ones.

Most intense lines, 2θ from 10° to 90°, low angle first:
Position (°2θ)	d/Å	I/Imax	hkl
19.96	4.448	20.9	0 0 6
21.56	4.121	35.5	0 1 2
26.50	3.364	31.1	0 1 5
33.92	2.643	100.0	0 1 8
35.90	2.502	89.2	1 1 0
41.41	2.180	20.5	1 1 6
50.21	1.817	32.7	2 0 8
63.26	1.470	32.3	1 2 8

Cell and atoms:
```
data_Na2CdIn2Hg2
_chemical_formula_sum 'Na6 Cd3 In6 Hg6'
_cell_length_a 5.0032
_cell_length_b 5.0032
_cell_length_c 26.6852
_cell_angle_alpha 90.00
_cell_angle_beta 90.00
_cell_angle_gamma 120.00
_symmetry_space_group_name_H-M 'R -3 m'
_symmetry_Int_Tables_number 166
_symmetry_space_group_name_Hall '-R 3 2"'
loop_
_atom_site_label
_atom_site_type_symbol
_atom_site_fract_x
_atom_site_fract_y
_atom_site_fract_z
Na1 Na 0.0000 0.0000 0.1279
Cd1 Cd 0.0000 0.0000 0.0000
In1 In 0.0000 0.0000 0.3807
Hg1 Hg 0.0000 0.0000 0.2467
```